(1)
Calculated X-ray powder pattern
Compound: CaLa2Pr5Sm
Radiation: λ = 1.5418 Å (Cu Kα)
Structure: the GGA-PBE geometry in Alexandria
Intensities are scaled so that the largest is 100.

a b c (Å): 8.8231 8.8231 16.9976
angles (deg): 90.00 90.00 90.00
Space group I4/mcm (No. 140)
Inequivalent atoms, fractional coordinates:
1 Ca 0.0000 0.5000 0.2500 [4 per cell]
2 La 0.1202 0.3798 0.0000 [8 per cell]
3 Pr 0.0000 0.0000 0.0000 [4 per cell]
4 Pr 0.2220 0.2780 0.3591 [16 per cell]
5 Sm 0.0000 0.0000 0.2500 [4 per cell]

Principal peaks in the range 2θ from 10° to 80°, by angle:
| hkl | Position (°2θ) | I (rel.) |
| --- | --- | --- |
| 2 1 3 | 27.5 | 41.9 |
| 2 2 0 | 28.6 | 51.8 |
| 2 0 4 | 29.2 | 100.0 |
| 3 1 0 | 32.1 | 20.0 |
| 2 1 5 | 34.8 | 11.6 |
| 3 2 1 | 37.1 | 14.9 |
| 3 1 4 | 38.6 | 14.6 |
| 0 0 8 | 42.6 | 19.1 |
| 4 2 4 | 51.0 | 28.4 |
| 2 2 8 | 52.1 | 14.8 |



(2)
Calculated X-ray powder pattern
Compound: CaLaPr2Te4
Radiation: λ = 1.5418 Å (Cu Kα)
Structure: the GGA-PBE geometry in Alexandria
Intensities are scaled so that the largest is 100.

a b c (Å): 9.0255 9.1321 12.8428
angles (deg): 90.00 90.00 90.00
Space group Imma (No. 74)
Inequivalent atoms, fractional coordinates:
1 Ca 0.2500 0.2500 0.2500 [4 per cell]
2 La 0.0000 0.0000 0.0000 [4 per cell]
3 Pr 0.0000 0.0000 0.5000 [4 per cell]
4 Pr 0.2500 0.2500 0.7500 [4 per cell]
5 Te 0.0000 0.0056 0.2508 [8 per cell]
6 Te 0.2486 0.2500 0.4969 [8 per cell]

Principal peaks in the range 2θ from 10° to 80°, by angle:
| hkl | Position (°2θ) | I (rel.) |
| --- | --- | --- |
| 2 2 0 | 27.8 | 100.0 |
| 0 4 0 | 39.5 | 12.9 |
| 2 2 4 | 39.7 | 50.8 |
| 4 0 0 | 40.0 | 12.5 |
| 0 4 4 | 49.0 | 13.8 |
| 4 0 4 | 49.4 | 13.5 |
| 4 4 0 | 57.4 | 12.8 |
| 4 4 4 | 65.0 | 23.3 |
| 2 6 4 | 71.7 | 8.6 |
| 6 2 4 | 72.4 | 8.5 |



(3)
Calculated X-ray powder pattern
Compound: CaLa5Pr2Y
Radiation: λ = 1.5418 Å (Cu Kα)
Structure: the GGA-PBE geometry in Alexandria
Intensities are scaled so that the largest is 100.

a b c (Å): 5.6935 21.9535 10.7805
angles (deg): 90.00 90.00 90.00
Space group Cmc2_1 (No. 36)
Inequivalent atoms, fractional coordinates:
1 Ca 0.0000 0.1018 0.0000 [4 per cell]
2 La 0.0000 0.9998 0.2498 [4 per cell]
3 La 0.0000 0.1214 0.4998 [4 per cell]
4 La 0.0000 0.2229 0.1967 [4 per cell]
5 La 0.0000 0.2232 0.8039 [4 per cell]
6 La 0.0000 0.4981 0.4999 [4 per cell]
7 Pr 0.0000 0.3836 0.2288 [4 per cell]
8 Pr 0.0000 0.3840 0.7707 [4 per cell]
9 Y 0.0000 0.2908 0.5002 [4 per cell]

Principal peaks in the range 2θ from 10° to 80°, by angle:
| hkl | Position (°2θ) | I (rel.) |
| --- | --- | --- |
| 0 6 1 | 25.7 | 14.1 |
| 1 3 2 | 25.8 | 25.5 |
| 1 1 3 | 29.7 | 28.5 |
| 1 5 2 | 30.6 | 100.0 |
| 2 0 0 | 31.4 | 34.1 |
| 0 8 0 | 32.6 | 14.5 |
| 0 0 4 | 33.2 | 17.5 |
| 2 0 4 | 46.4 | 13.7 |
| 3 5 2 | 55.4 | 18.4 |
| 1 13 2 | 59.6 | 13.1 |



(4)
Calculated X-ray powder pattern
Compound: Ca3LaPt4
Radiation: λ = 1.5418 Å (Cu Kα)
Structure: the GGA-PBE geometry in Alexandria
Intensities are scaled so that the largest is 100.

a b c (Å): 4.9932 4.9932 7.1108
angles (deg): 90.00 90.00 90.00
Space group P4/mmm (No. 123)
Inequivalent atoms, fractional coordinates:
1 Ca 0.0000 0.0000 0.0000 [1 per cell]
2 Ca 0.0000 0.0000 0.5000 [1 per cell]
3 Ca 0.5000 0.5000 0.0000 [1 per cell]
4 La 0.5000 0.5000 0.5000 [1 per cell]
5 Pt 0.0000 0.5000 0.2508 [4 per cell]

Principal peaks in the range 2θ from 10° to 80°, by angle:
| hkl | Position (°2θ) | I (rel.) |
| --- | --- | --- |
| 0 0 2 | 25.0 | 14.6 |
| 1 1 0 | 25.2 | 28.6 |
| 1 1 2 | 35.8 | 100.0 |
| 2 0 0 | 36.0 | 49.5 |
| 2 0 2 | 44.3 | 13.6 |
| 2 2 0 | 51.8 | 17.5 |
| 3 1 0 | 58.4 | 12.5 |
| 2 0 4 | 64.3 | 18.2 |
| 3 1 2 | 64.6 | 35.9 |
| 2 2 4 | 76.0 | 11.2 |